The following is a theoretical PXRD pattern of DyGa2P2Pt7. It was derived from a crystal structure in Alexandria, relaxed with GGA-PBE, using Cu Ka.
Intensities are scaled so that the largest is 1000.

Structural model:
Cell lengths 3.9216, 3.9216, 14.3709 Å; angles 94.33, 94.33, 90.27 degrees
Sites, in units of the cell vectors:
Dy 0.0000 0.0000 0.0000
Ga 0.1313 0.1313 0.4240
Ga 0.8687 0.8687 0.5760
P 0.4294 0.4294 0.7497
P 0.5706 0.5706 0.2503
Pt 0.0448 0.5445 0.1565
Pt 0.4056 0.4056 0.5907
Pt 0.4555 0.9552 0.8435
Pt 0.5000 0.5000 0.0000
Pt 0.5445 0.0448 0.1565
Pt 0.5944 0.5944 0.4093
Pt 0.9552 0.4555 0.8435

Most intense lines, 10 to 90 degrees two-theta, sorted by position:
| 2theta | I/Imax |
| --- | --- |
| 12.39 | 240 |
| 18.63 | 239 |
| 31.30 | 483 |
| 32.83 | 246 |
| 34.63 | 532 |
| 35.91 | 668 |
| 36.23 | 704 |
| 37.47 | 854 |
| 44.38 | 373 |
| 46.42 | 1000 |